The following is a theoretical PXRD pattern of Rb2AlCuP2. It was derived from a crystal structure in Alexandria, relaxed with PBE, using Cu Kα (λ = 1.5418 Å).

Most intense lines, 10 to 90 degrees two-theta, sorted by position:
Position (°2θ), d [Å], I/Imax
23.21, 3.832, 89
27.30, 3.267, 59
33.09, 2.707, 100
34.74, 2.582, 67
35.51, 2.528, 62
44.20, 2.049, 54

Crystal structure
```
Rb2AlCuP2
1.0
-2.8588 10.8224 2.9383
2.8588 -10.8224 2.9383
2.8588 10.8224 -2.9383
Rb Al Cu P
4 2 2 4
direct
0.1394 0.2395 0.3790
0.3606 0.7395 0.1001
0.6394 0.2605 0.8999
0.8606 0.7605 0.6210
0.2500 0.7500 0.5000
0.7500 0.2500 0.5000
0.2500 0.2500 0.0000
0.7500 0.7500 0.0000
0.0622 0.7424 0.8045
0.4378 0.2424 0.6802
0.5622 0.7576 0.3198
0.9378 0.2576 0.1955
```